Entry 1:
Diffraction record for TbZnGaSn. The powder XRD pattern is theoretical, not measured: it uses a GGA-PBE-relaxed structure and Cu Kα X-rays.

Peak list (10 most intense, 2θ from 5° to 70°, sorted by position)
h k l, 2θ (°), I (rel.)
1 0 0, 20.40, 10.3
0 1 1, 28.48, 9.2
1 1 1, 35.29, 100.0
0 0 2, 39.96, 17.8
2 0 0, 41.48, 32.0
1 0 2, 45.27, 2.7
2 1 1, 51.10, 3.9
2 0 2, 58.95, 22.6
2 2 0, 60.10, 10.6
1 1 3, 69.56, 13.7

Atomic structure:
```
data_TbZnGaSn
_cell_length_a 4.352
_cell_length_b 4.356
_cell_length_c 4.513
_cell_angle_alpha 90.00
_cell_angle_beta 90.00
_cell_angle_gamma 90.00
_space_group_name_H-M_alt 'P m m m'
_space_group_IT_number 47
loop_
_space_group_symop_operation_xyz
'x,y,z'
'-x,-y,-z'
'-x,-y,z'
'x,y,-z'
'x,-y,-z'
'-x,y,z'
'-x,y,-z'
'x,-y,z'
loop_
_atom_site_label
_atom_site_type_symbol
_atom_site_fract_x
_atom_site_fract_y
_atom_site_fract_z
Tb1 Tb 0.000 0.000 0.000
Zn1 Zn 0.500 0.000 0.500
Ga1 Ga 0.500 0.500 0.000
Sn1 Sn 0.000 0.500 0.500
```


Entry 2:
Diffraction record for FeSn4. The powder XRD pattern is theoretical, not measured: it uses a GGA-PBE-relaxed structure and Cu Kα X-rays.

Peak list (10 most intense, 2θ from 5° to 70°, sorted by position)
h k l, 2θ (°), I (rel.)
2 0 0, 27.62, 19.9
0 0 2, 31.66, 24.1
2 1 1, 34.88, 100.0
1 1 2, 37.42, 8.4
2 2 0, 39.46, 8.0
2 0 2, 42.51, 29.3
3 1 0, 44.35, 15.8
2 1 3, 58.49, 23.4
3 3 0, 60.85, 7.5
4 1 1, 61.42, 29.1

Atomic structure:
```
data_FeSn4
_cell_length_a 6.459
_cell_length_b 6.459
_cell_length_c 5.652
_cell_angle_alpha 90.00
_cell_angle_beta 90.00
_cell_angle_gamma 90.00
_space_group_name_H-M_alt 'P 4/m c c'
_space_group_IT_number 124
_space_group_name_Hall '-P 4 2c'
loop_
_atom_site_label
_atom_site_type_symbol
_atom_site_fract_x
_atom_site_fract_y
_atom_site_fract_z
Fe1 Fe 0.000 0.000 0.250
Sn1 Sn 0.177 0.325 0.000
```


Entry 3:
Diffraction record for Nd2ErAg4. The powder XRD pattern is theoretical, not measured: it uses a GGA-PBE-relaxed structure and Cu Kα X-rays.

Peak list (10 most intense, 2θ from 5° to 70°, sorted by position)
h k l, 2θ (°), I (rel.)
1 0 1, 17.89, 11.2
1 0 3, 26.51, 35.7
1 1 2, 27.24, 9.7
2 0 0, 33.38, 79.8
1 1 4, 36.49, 100.0
2 1 3, 43.12, 19.4
2 2 0, 47.93, 28.4
1 0 7, 52.35, 10.7
3 1 4, 61.71, 41.6
2 1 7, 63.52, 12.0

Atomic structure:
```
data_Nd2ErAg4
_cell_length_a 5.368
_cell_length_b 5.368
_cell_length_c 12.939
_cell_angle_alpha 90.00
_cell_angle_beta 90.00
_cell_angle_gamma 90.00
_space_group_name_H-M_alt 'I 4/m m m'
_space_group_IT_number 139
_space_group_name_Hall '-I 4 2'
loop_
_atom_site_label
_atom_site_type_symbol
_atom_site_fract_x
_atom_site_fract_y
_atom_site_fract_z
Nd1 Nd 0.000 0.000 0.220
Er1 Er 0.000 0.000 0.500
Ag1 Ag 0.000 0.500 0.113
```


Entry 4:
Diffraction record for Ce3Tl3CuS8. The powder XRD pattern is theoretical, not measured: it uses a GGA-PBE-relaxed structure and Cu Kα X-rays.

Peak list (10 most intense, 2θ from 5° to 70°, sorted by position)
h k l, 2θ (°), I (rel.)
1 0 1, 14.87, 21.8
0 0 2, 23.93, 37.6
0 2 0, 26.29, 54.2
2 2 2, 27.62, 22.8
2 0 2, 30.00, 100.0
2 2 0, 30.56, 44.6
2 0 -2, 40.96, 35.1
2 2 4, 42.35, 20.3
2 -2 0, 43.52, 17.8
2 2 -2, 48.40, 22.2

Atomic structure:
```
data_Ce3Tl3CuS8
_cell_length_a 7.954
_cell_length_b 7.973
_cell_length_c 8.631
_cell_angle_alpha 64.36
_cell_angle_beta 64.36
_cell_angle_gamma 62.97
_space_group_name_H-M_alt 'P -1'
_space_group_IT_number 2
loop_
_space_group_symop_operation_xyz
'x,y,z'
'-x,-y,-z'
loop_
_atom_site_label
_atom_site_type_symbol
_atom_site_fract_x
_atom_site_fract_y
_atom_site_fract_z
Ce1 Ce 0.000 0.000 0.000
Ce2 Ce 0.000 0.500 0.000
Ce3 Ce 0.500 0.000 0.000
Tl1 Tl 0.000 0.500 0.500
Tl2 Tl 0.500 0.000 0.500
Tl3 Tl 0.500 0.500 0.500
Cu1 Cu 0.500 0.500 0.000
S1 S 0.209 0.748 0.796
S2 S 0.236 0.236 0.796
S3 S 0.249 0.796 0.207
S4 S 0.303 0.302 0.164
```


Entry 5:
Diffraction record for CdAg2F11. The powder XRD pattern is theoretical, not measured: it uses a GGA-PBE-relaxed structure and Cu Kα X-rays.

Peak list (10 most intense, 2θ from 5° to 70°, sorted by position)
h k l, 2θ (°), I (rel.)
1 1 0, 13.85, 23.7
0 0 2, 17.16, 22.4
1 1 2, 22.11, 73.4
2 1 1, 23.62, 72.6
2 0 2, 26.19, 100.0
2 3 1, 36.88, 20.7
2 2 4, 45.11, 33.5
3 3 2, 46.06, 35.3
3 1 4, 47.42, 29.4
4 1 3, 49.25, 35.2

Atomic structure:
```
data_CdAg2F11
_cell_length_a 9.034
_cell_length_b 9.053
_cell_length_c 10.336
_cell_angle_alpha 90.00
_cell_angle_beta 90.00
_cell_angle_gamma 90.00
_space_group_name_H-M_alt 'I b a m'
_space_group_IT_number 72
_space_group_name_Hall '-I 2 2c'
loop_
_atom_site_label
_atom_site_type_symbol
_atom_site_fract_x
_atom_site_fract_y
_atom_site_fract_z
Cd1 Cd 0.000 0.000 0.250
Ag1 Ag 0.190 0.310 0.000
F1 F 0.000 0.500 0.000
F2 F 0.077 0.208 0.135
F3 F 0.148 0.353 0.500
F4 F 0.208 0.077 0.365
```


Entry 6:
Diffraction record for Np4VGa12. The powder XRD pattern is theoretical, not measured: it uses a GGA-PBE-relaxed structure and Cu Kα X-rays.

Peak list (10 most intense, 2θ from 5° to 70°, sorted by position)
h k l, 2θ (°), I (rel.)
2 0 0, 20.60, 31.6
2 2 0, 29.29, 45.5
2 2 2, 36.08, 100.0
4 0 0, 41.90, 54.7
4 2 0, 47.13, 20.2
3 3 2, 49.58, 3.0
4 2 2, 51.95, 16.1
4 4 0, 60.75, 33.6
4 4 2, 64.87, 11.0
6 2 0, 68.86, 11.6

Atomic structure:
```
data_Np4VGa12
_cell_length_a 8.624
_cell_length_b 8.624
_cell_length_c 8.624
_cell_angle_alpha 90.00
_cell_angle_beta 90.00
_cell_angle_gamma 90.00
_space_group_name_H-M_alt 'I m -3 m'
_space_group_IT_number 229
_space_group_name_Hall '-I 4 2 3'
loop_
_atom_site_label
_atom_site_type_symbol
_atom_site_fract_x
_atom_site_fract_y
_atom_site_fract_z
Np1 Np 0.250 0.250 0.250
V1 V 0.000 0.000 0.000
Ga1 Ga 0.000 0.000 0.290
Ga2 Ga 0.000 0.250 0.500
```


Entry 7:
Diffraction record for Pr4DyGa5. The powder XRD pattern is theoretical, not measured: it uses a GGA-PBE-relaxed structure and Cu Kα X-rays.

Peak list (10 most intense, 2θ from 5° to 70°, sorted by position)
h k l, 2θ (°), I (rel.)
0 0 5, 24.01, 4.6
1 0 0, 24.12, 9.0
1 1 0, 34.32, 100.0
1 1 5, 42.37, 4.2
0 0 10, 49.17, 5.5
2 0 0, 49.41, 12.0
1 0 10, 55.49, 2.0
2 0 5, 55.69, 3.8
1 1 10, 61.37, 11.2
2 1 5, 61.52, 24.0

Atomic structure:
```
data_Pr4DyGa5
_cell_length_a 3.689
_cell_length_b 3.689
_cell_length_c 18.532
_cell_angle_alpha 90.00
_cell_angle_beta 90.00
_cell_angle_gamma 90.00
_space_group_name_H-M_alt 'P 4/m m m'
_space_group_IT_number 123
_space_group_name_Hall '-P 4 2'
loop_
_atom_site_label
_atom_site_type_symbol
_atom_site_fract_x
_atom_site_fract_y
_atom_site_fract_z
Pr1 Pr 0.000 0.000 0.102
Pr2 Pr 0.000 0.000 0.306
Dy1 Dy 0.000 0.000 0.500
Ga1 Ga 0.500 0.500 0.000
Ga2 Ga 0.500 0.500 0.204
Ga3 Ga 0.500 0.500 0.410
```


Entry 8:
Diffraction record for CdCu2O2. The powder XRD pattern is theoretical, not measured: it uses a GGA-PBE-relaxed structure and Cu Kα X-rays.

Peak list (10 most intense, 2θ from 5° to 70°, sorted by position)
h k l, 2θ (°), I (rel.)
2 2 -1, 32.07, 81.1
1 1 1, 33.75, 68.9
1 1 -2, 34.74, 77.3
3 1 -1, 36.52, 66.5
3 1 -2, 37.45, 100.0
1 3 0, 37.70, 48.6
1 3 -1, 38.00, 60.6
2 2 -2, 38.66, 46.3
1 1 2, 53.54, 39.9
0 4 2, 63.57, 36.0

Atomic structure:
```
data_CdCu2O2
_cell_length_a 8.025
_cell_length_b 7.777
_cell_length_c 5.848
_cell_angle_alpha 90.00
_cell_angle_beta 130.50
_cell_angle_gamma 90.00
_space_group_name_H-M_alt 'C 1 2/c 1'
_space_group_IT_number 15
loop_
_space_group_symop_operation_xyz
'x,y,z'
'-x,-y,-z'
'-x,y,-z+1/2'
'x,-y,z+1/2'
'x+1/2,y+1/2,z'
'-x+1/2,-y+1/2,-z'
'-x+1/2,y+1/2,-z+1/2'
'x+1/2,-y+1/2,z+1/2'
loop_
_atom_site_label
_atom_site_type_symbol
_atom_site_fract_x
_atom_site_fract_y
_atom_site_fract_z
Cd1 Cd 0.000 0.117 0.250
Cu1 Cu 0.000 0.500 0.000
Cu2 Cu 0.250 0.250 0.000
O1 O 0.219 0.091 0.740
```


Entry 9:
Diffraction record for Ho2ScZn12Cu3. The powder XRD pattern is theoretical, not measured: it uses a GGA-PBE-relaxed structure and Cu Kα X-rays.

Peak list (10 most intense, 2θ from 5° to 70°, sorted by position)
h k l, 2θ (°), I (rel.)
1 0 4, 21.81, 31.1
0 2 1, 27.35, 100.0
1 0 7, 33.17, 63.6
2 0 5, 34.74, 40.3
1 1 6, 35.06, 25.7
1 2 2, 37.05, 63.6
1 2 5, 42.27, 60.6
0 3 3, 43.14, 53.8
2 0 8, 44.46, 26.6
2 2 0, 47.69, 63.1

Atomic structure:
```
data_Ho2ScZn12Cu3
_cell_length_a 7.6244
_cell_length_b 7.6244
_cell_length_c 20.7218
_cell_angle_alpha 90.00
_cell_angle_beta 90.00
_cell_angle_gamma 120.00
_space_group_name_H-M_alt 'R -3 m'
_space_group_IT_number 166
_space_group_name_Hall '-R 3 2"'
loop_
_atom_site_label
_atom_site_type_symbol
_atom_site_fract_x
_atom_site_fract_y
_atom_site_fract_z
Ho1 Ho 0.0000 0.0000 0.0874
Sc1 Sc 0.0000 0.0000 0.5000
Zn1 Zn 0.0838 0.5419 0.2717
Zn2 Zn 0.0920 0.5460 0.8771
Cu1 Cu 0.0000 0.5000 0.0000
```


Entry 10:
Diffraction record for Pm2Sn2Rh. The powder XRD pattern is theoretical, not measured: it uses a GGA-PBE-relaxed structure and Cu Kα X-rays.

Peak list (10 most intense, 2θ from 5° to 70°, sorted by position)
h k l, 2θ (°), I (rel.)
1 1 2, 30.36, 76.1
3 1 -1, 31.02, 55.5
1 1 -3, 31.13, 100.0
4 0 -2, 31.99, 46.2
3 1 -3, 34.42, 46.9
3 1 1, 37.47, 84.3
4 0 -4, 37.85, 26.0
0 2 0, 39.36, 90.8
4 0 -6, 50.53, 27.3
7 1 -3, 61.31, 34.0

Atomic structure:
```
data_Pm2Sn2Rh
_cell_length_a 11.215
_cell_length_b 4.578
_cell_length_c 11.157
_cell_angle_alpha 90.00
_cell_angle_beta 116.42
_cell_angle_gamma 90.00
_space_group_name_H-M_alt 'C 1 2/m 1'
_space_group_IT_number 12
loop_
_space_group_symop_operation_xyz
'x,y,z'
'-x,-y,-z'
'-x,y,-z'
'x,-y,z'
'x+1/2,y+1/2,z'
'-x+1/2,-y+1/2,-z'
'-x+1/2,y+1/2,-z'
'x+1/2,-y+1/2,z'
loop_
_atom_site_label
_atom_site_type_symbol
_atom_site_fract_x
_atom_site_fract_y
_atom_site_fract_z
Pm1 Pm 0.000 0.000 0.170
Pm2 Pm 0.188 0.000 0.625
Sn1 Sn 0.026 0.500 0.382
Sn2 Sn 0.156 0.500 0.051
Rh1 Rh 0.224 0.500 0.832
```